For FeH2C2O4, a structure optimized by DFT (PBE+U) gives the computed powder diffraction line list in this record (a wavelength of 1.5418 Å).

Largest 10 diffraction maxima, by angle, 2θ from 15° to 90°:
| d [Å] | intensity |
| --- | --- |
| 4.791 | 94 |
| 4.760 | 100 |
| 4.646 | 9 |
| 3.447 | 20 |
| 3.168 | 65 |
| 2.499 | 27 |
| 2.035 | 16 |
| 2.031 | 22 |
| 2.024 | 9 |
| 1.791 | 14 |

Atomic structure:
a b c (Å): 6.871 6.871 9.610
angles (deg): 127.11 127.11 45.54
Sites, in units of the cell vectors:
Fe (0.138, 0.862, 0.750)
Fe (0.862, 0.138, 0.250)
H (0.012, 0.735, 0.757)
H (0.265, 0.988, 0.743)
H (0.735, 0.012, 0.257)
H (0.988, 0.265, 0.243)
C (0.308, 0.584, 0.145)
C (0.416, 0.692, 0.355)
C (0.584, 0.308, 0.645)
C (0.692, 0.416, 0.855)
O (0.054, 0.755, 0.066)
O (0.245, 0.946, 0.434)
O (0.332, 0.481, 0.565)
O (0.481, 0.332, 0.065)
O (0.519, 0.668, 0.935)
O (0.668, 0.519, 0.435)
O (0.755, 0.054, 0.566)
O (0.946, 0.245, 0.934)